The following is a simulated X-ray powder pattern of KNa2In2Sb2. It was derived from a structure optimized by DFT (PBE), using λ = 1.5418 Å (Cu Kα).
No peak broadening, texture or thermal motion is included.

Structure:
a = 9.969 Å, b = 9.969 Å, c = 9.969 Å
α = 30.53°, β = 30.53°, γ = 30.53°
Fractional coordinates of all 7 atoms:
K 0.000 0.000 0.000
Na 0.139 0.139 0.139
Na 0.861 0.861 0.861
In 0.444 0.444 0.444
In 0.556 0.556 0.556
Sb 0.250 0.250 0.250
Sb 0.750 0.750 0.750

Principal peaks in the range 2θ = 10–90°, sorted by position:
d (Å)	2θ/deg	I (rel.)
4.748	18.69	413
4.489	19.78	257
3.832	23.21	637
3.032	29.46	338
2.624	34.17	1000
2.414	37.25	513
2.297	39.22	381
2.020	44.86	220
1.777	51.43	200
1.658	55.42	171
1.515	61.17	181
1.471	63.20	211

The following is a simulated X-ray powder pattern of AcHo2Hg6. It was derived from a structure optimized by DFT (PBE), using λ = 1.5418 Å (Cu Kα).
No peak broadening, texture or thermal motion is included.

Structure:
a = 8.769 Å, b = 8.769 Å, c = 8.769 Å
α = 154.91°, β = 122.20°, γ = 63.99°
Fractional coordinates of all 9 atoms:
Ac 0.000 0.000 0.000
Ho 0.357 0.857 0.500
Ho 0.643 0.143 0.500
Hg 0.002 0.323 0.680
Hg 0.330 0.500 0.830
Hg 0.357 0.677 0.680
Hg 0.643 0.323 0.320
Hg 0.670 0.500 0.170
Hg 0.998 0.677 0.320

Principal peaks in the range 2θ = 10–90°, sorted by position:
d (Å)	2θ/deg	I (rel.)
3.687	24.14	157
3.148	28.35	611
2.783	32.16	681
2.539	35.36	452
2.479	36.24	409
2.455	36.60	1000
2.345	38.39	211
2.052	44.14	218
1.905	47.75	238
1.701	53.92	182
1.510	61.39	181
1.505	61.64	411

The following is a simulated X-ray powder pattern of TcSbIr2. It was derived from a structure optimized by DFT (PBE), using λ = 1.5418 Å (Cu Kα).
No peak broadening, texture or thermal motion is included.

Structure:
a = 2.940 Å, b = 2.940 Å, c = 7.504 Å
α = 90.00°, β = 90.00°, γ = 90.00°
Fractional coordinates of all 4 atoms:
Tc 0.000 0.000 0.000
Sb 0.500 0.500 0.729
Ir 0.000 0.000 0.483
Ir 0.500 0.500 0.219

Principal peaks in the range 2θ = 10–90°, sorted by position:
d (Å)	2θ/deg	I (rel.)
7.504	11.79	132
2.737	32.72	61
2.314	38.92	1000
2.079	43.54	371
2.003	45.27	23
1.905	47.74	19
1.876	48.52	126
1.470	63.27	122
1.393	67.22	190
1.241	76.83	275
1.157	83.56	106
1.151	84.11	96

The following is a simulated X-ray powder pattern of Tb2Ho3Ru4. It was derived from a structure optimized by DFT (PBE), using λ = 1.5418 Å (Cu Kα).
No peak broadening, texture or thermal motion is included.

Structure:
a = 4.861 Å, b = 4.861 Å, c = 9.231 Å
α = 90.00°, β = 90.00°, γ = 120.00°
Fractional coordinates of all 9 atoms:
Tb 0.333 0.667 0.206
Tb 0.667 0.333 0.794
Ho 0.000 0.000 0.000
Ho 0.333 0.667 0.591
Ho 0.667 0.333 0.409
Ru 0.000 0.000 0.358
Ru 0.000 0.000 0.642
Ru 0.333 0.667 0.894
Ru 0.667 0.333 0.106

Principal peaks in the range 2θ = 10–90°, sorted by position:
d (Å)	2θ/deg	I (rel.)
3.110	28.70	202
2.484	36.16	898
2.430	36.99	1000
1.737	52.69	305
1.470	63.26	115
1.445	64.49	93
1.413	66.11	306
1.403	66.65	177
1.215	78.75	110
1.117	87.26	78
1.106	88.38	80
1.092	89.86	139

The following is a simulated X-ray powder pattern of CuSb2Cl2. It was derived from a structure optimized by DFT (PBE), using λ = 1.5418 Å (Cu Kα).
No peak broadening, texture or thermal motion is included.

Structure:
a = 6.940 Å, b = 6.940 Å, c = 5.319 Å
α = 90.00°, β = 90.00°, γ = 90.00°
Fractional coordinates of all 10 atoms:
Cu 0.000 0.000 0.000
Cu 0.500 0.500 0.000
Sb 0.153 0.347 0.000
Sb 0.347 0.847 0.000
Sb 0.653 0.153 0.000
Sb 0.847 0.653 0.000
Cl 0.181 0.319 0.500
Cl 0.319 0.819 0.500
Cl 0.681 0.181 0.500
Cl 0.819 0.681 0.500

Principal peaks in the range 2θ = 10–90°, sorted by position:
d (Å)	2θ/deg	I (rel.)
5.319	16.67	906
3.104	28.76	1000
2.681	33.43	446
2.660	33.70	429
2.195	41.13	357
2.029	44.67	325
2.020	44.88	565
1.693	54.18	307
1.683	54.51	102
1.422	65.64	114
1.222	78.20	106
1.160	83.32	109

The following is a simulated X-ray powder pattern of Y2Ni3. It was derived from a structure optimized by DFT (PBE), using λ = 1.5418 Å (Cu Kα).
No peak broadening, texture or thermal motion is included.

Structure:
a = 7.949 Å, b = 5.204 Å, c = 8.740 Å
α = 63.72°, β = 35.94°, γ = 80.34°
Fractional coordinates of all 10 atoms:
Y 0.219 0.781 0.378
Y 0.628 0.872 0.469
Y 0.781 0.219 0.622
Y 0.872 0.628 0.031
Ni 0.202 0.304 0.046
Ni 0.204 0.802 0.048
Ni 0.266 0.266 0.734
Ni 0.304 0.202 0.448
Ni 0.516 0.516 0.984
Ni 0.802 0.204 0.946

Principal peaks in the range 2θ = 10–90°, sorted by position:
d (Å)	2θ/deg	I (rel.)
2.877	31.08	523
2.563	35.01	381
2.504	35.87	1000
2.486	36.13	752
2.308	39.03	923
2.174	41.53	813
2.149	42.04	503
1.965	46.19	232
1.938	46.88	523
1.555	59.46	181
1.450	64.25	195
1.301	72.69	258

The following is a simulated X-ray powder pattern of Pu2AgHg5. It was derived from a structure optimized by DFT (PBE), using λ = 1.5418 Å (Cu Kα).
No peak broadening, texture or thermal motion is included.

Structure:
a = 6.604 Å, b = 6.604 Å, c = 6.604 Å
α = 119.87°, β = 119.87°, γ = 90.22°
Fractional coordinates of all 8 atoms:
Pu 0.000 0.500 0.500
Pu 0.500 0.000 0.500
Ag 0.002 0.002 0.000
Hg 0.499 0.499 0.000
Hg 0.501 0.501 0.501
Hg 0.501 0.999 0.000
Hg 0.999 0.501 0.000
Hg 0.999 0.999 0.499

Principal peaks in the range 2θ = 10–90°, sorted by position:
d (Å)	2θ/deg	I (rel.)
4.678	18.97	18
3.302	27.00	16
2.698	33.21	1000
2.339	38.48	338
2.330	38.64	167
1.654	55.56	118
1.651	55.67	235
1.410	66.28	280
1.406	66.49	139
1.349	69.72	121
1.170	82.47	39
1.165	82.85	19

The following is a simulated X-ray powder pattern of GeSb. It was derived from a structure optimized by DFT (PBE), using λ = 1.5418 Å (Cu Kα).
No peak broadening, texture or thermal motion is included.

Structure:
a = 12.274 Å, b = 12.274 Å, c = 4.285 Å
α = 90.00°, β = 90.00°, γ = 90.00°
Fractional coordinates of all 16 atoms:
Ge 0.073 0.739 0.000
Ge 0.080 0.397 0.500
Ge 0.261 0.073 0.000
Ge 0.397 0.920 0.500
Ge 0.603 0.080 0.500
Ge 0.739 0.927 0.000
Ge 0.920 0.603 0.500
Ge 0.927 0.261 0.000
Sb 0.150 0.615 0.500
Sb 0.162 0.286 0.000
Sb 0.286 0.838 0.000
Sb 0.385 0.150 0.500
Sb 0.615 0.850 0.500
Sb 0.714 0.162 0.000
Sb 0.838 0.714 0.000
Sb 0.850 0.385 0.500

Principal peaks in the range 2θ = 10–90°, sorted by position:
d (Å)	2θ/deg	I (rel.)
8.679	10.19	1000
6.137	14.43	171
3.881	22.91	273
3.842	23.15	150
3.513	25.35	212
3.378	26.39	380
2.495	36.00	211
2.455	36.61	153
2.445	36.76	369
2.142	42.18	155
2.099	43.10	247
2.012	45.05	131

The following is a simulated X-ray powder pattern of Ba3PmTm3Te8. It was derived from a structure optimized by DFT (PBE), using λ = 1.5418 Å (Cu Kα).
No peak broadening, texture or thermal motion is included.

Structure:
a = 9.481 Å, b = 9.481 Å, c = 9.481 Å
α = 56.42°, β = 56.42°, γ = 56.42°
Fractional coordinates of all 15 atoms:
Ba 0.000 0.500 0.500
Ba 0.500 0.000 0.500
Ba 0.500 0.500 0.000
Pm 0.500 0.500 0.500
Tm 0.000 0.000 0.500
Tm 0.000 0.500 0.000
Tm 0.500 0.000 0.000
Te 0.225 0.746 0.746
Te 0.237 0.237 0.237
Te 0.254 0.254 0.775
Te 0.254 0.775 0.254
Te 0.746 0.225 0.746
Te 0.746 0.746 0.225
Te 0.763 0.763 0.763
Te 0.775 0.254 0.254

Principal peaks in the range 2θ = 10–90°, sorted by position:
d (Å)	2θ/deg	I (rel.)
7.944	11.14	140
3.252	27.43	1000
2.559	35.06	69
2.363	38.08	370
2.241	40.25	367
1.986	45.68	60
1.845	49.39	194
1.626	56.60	115
1.486	62.49	140
1.424	65.53	163
1.316	71.72	112
1.294	73.15	61

The following is a simulated X-ray powder pattern of Rb2TlMoBr8. It was derived from a structure optimized by DFT (PBE), using λ = 1.5418 Å (Cu Kα).
No peak broadening, texture or thermal motion is included.

Structure:
a = 7.362 Å, b = 7.362 Å, c = 9.354 Å
α = 90.00°, β = 90.00°, γ = 120.00°
Fractional coordinates of all 12 atoms:
Rb 0.333 0.667 0.343
Rb 0.667 0.333 0.657
Tl 0.000 0.000 0.000
Mo 0.000 0.000 0.500
Br 0.161 0.322 0.661
Br 0.161 0.839 0.661
Br 0.322 0.161 0.339
Br 0.333 0.667 0.993
Br 0.667 0.333 0.007
Br 0.678 0.839 0.661
Br 0.839 0.161 0.339
Br 0.839 0.678 0.339

Principal peaks in the range 2θ = 10–90°, sorted by position:
d (Å)	2θ/deg	I (rel.)
6.376	13.89	557
3.771	23.59	265
3.681	24.18	658
3.425	26.01	321
3.118	28.63	551
3.017	29.60	952
2.893	30.91	675
2.634	34.03	1000
1.886	48.26	321
1.841	49.52	518
1.585	58.21	428
1.190	80.79	238

The following is a simulated X-ray powder pattern of Zn2BiI8. It was derived from a structure optimized by DFT (PBE), using λ = 1.5418 Å (Cu Kα).
No peak broadening, texture or thermal motion is included.

Structure:
a = 8.787 Å, b = 8.787 Å, c = 7.118 Å
α = 91.68°, β = 91.68°, γ = 94.19°
Fractional coordinates of all 11 atoms:
Zn 0.216 0.216 0.418
Zn 0.784 0.784 0.582
Bi 0.000 0.000 0.000
I 0.053 0.724 0.733
I 0.227 0.227 0.788
I 0.276 0.947 0.267
I 0.424 0.424 0.305
I 0.576 0.576 0.695
I 0.724 0.053 0.733
I 0.773 0.773 0.212
I 0.947 0.276 0.267

Principal peaks in the range 2θ = 10–90°, sorted by position:
d (Å)	2θ/deg	I (rel.)
8.759	10.10	607
6.436	13.76	1000
5.608	15.80	457
3.678	24.20	680
3.490	25.52	599
3.415	26.10	969
2.650	33.82	735
2.614	34.31	308
2.145	42.12	302
2.113	42.79	321
2.088	43.33	406
1.837	49.63	304

The following is a simulated X-ray powder pattern of Ca4Sn5Hg2. It was derived from a structure optimized by DFT (PBE), using λ = 1.5418 Å (Cu Kα).
No peak broadening, texture or thermal motion is included.

Structure:
a = 8.110 Å, b = 3.521 Å, c = 10.513 Å
α = 90.00°, β = 94.34°, γ = 90.00°
Fractional coordinates of all 11 atoms:
Ca 0.179 0.000 0.388
Ca 0.276 0.000 0.936
Ca 0.724 0.000 0.064
Ca 0.821 0.000 0.612
Sn 0.185 0.500 0.662
Sn 0.440 0.500 0.200
Sn 0.500 0.500 0.500
Sn 0.560 0.500 0.800
Sn 0.815 0.500 0.338
Hg 0.065 0.500 0.135
Hg 0.935 0.500 0.865

Principal peaks in the range 2θ = 10–90°, sorted by position:
d (Å)	2θ/deg	I (rel.)
6.651	13.31	213
3.521	25.29	645
2.787	32.12	281
2.712	33.02	306
2.658	33.72	695
2.550	35.20	1000
2.478	36.25	289
2.122	42.60	274
2.065	43.83	551
1.761	51.94	185
1.468	63.33	204
1.449	64.30	311